Entry 1:
Starting from a structure optimized by DFT (PBE), the powder X-ray diffraction pattern of La3Si6Pd20 was simulated for Cu Ka.

The 10 most intense peaks (2θ = 10–90°), low angle first:
2θ = 32.13°, 2.786 Å, I = 23; 2θ = 35.30°, 2.543 Å, I = 30; 2θ = 37.52°, 2.397 Å, I = 100; 2θ = 40.98°, 2.202 Å, I = 30; 2θ = 42.95°, 2.106 Å, I = 25; 2θ = 43.59°, 2.076 Å, I = 10; 2θ = 48.47°, 1.878 Å, I = 11; 2θ = 63.35°, 1.468 Å, I = 29; 2θ = 64.82°, 1.438 Å, I = 14; 2θ = 74.65°, 1.271 Å, I = 18

Structure:
a b c (Å): 8.809 8.809 8.809
angles (deg): 60.00 60.00 60.00
Sites, in units of the cell vectors:
La: 0.000 0.000 0.000
La: 0.250 0.250 0.250
La: 0.750 0.750 0.750
Si: 0.268 0.268 0.732
Si: 0.268 0.732 0.268
Si: 0.268 0.732 0.732
Si: 0.732 0.268 0.268
Si: 0.732 0.268 0.732
Si: 0.732 0.732 0.268
Pd: 0.000 0.000 0.346
Pd: 0.000 0.000 0.654
Pd: 0.000 0.346 0.000
Pd: 0.000 0.346 0.654
Pd: 0.000 0.654 0.000
Pd: 0.000 0.654 0.346
Pd: 0.156 0.615 0.615
Pd: 0.346 0.000 0.000
Pd: 0.346 0.000 0.654
Pd: 0.346 0.654 0.000
Pd: 0.385 0.385 0.385
Pd: 0.385 0.385 0.844
Pd: 0.385 0.844 0.385
Pd: 0.615 0.156 0.615
Pd: 0.615 0.615 0.156
Pd: 0.615 0.615 0.615
Pd: 0.654 0.000 0.000
Pd: 0.654 0.000 0.346
Pd: 0.654 0.346 0.000
Pd: 0.844 0.385 0.385

Entry 2:
Starting from a structure optimized by DFT (PBE), the powder X-ray diffraction pattern of La3SiPd5 was simulated for Cu Ka.

The 10 most intense peaks (2θ = 10–90°), low angle first:
2θ = 33.06°, 2.710 Å, I = 30; 2θ = 33.22°, 2.697 Å, I = 27; 2θ = 33.32°, 2.689 Å, I = 100; 2θ = 35.60°, 2.522 Å, I = 35; 2θ = 35.79°, 2.509 Å, I = 47; 2θ = 35.95°, 2.498 Å, I = 41; 2θ = 36.08°, 2.489 Å, I = 30; 2θ = 37.58°, 2.393 Å, I = 23; 2θ = 40.89°, 2.207 Å, I = 17; 2θ = 66.15°, 1.413 Å, I = 16

Structure:
a b c (Å): 8.541 8.541 8.541
angles (deg): 127.51 78.36 126.36
Sites, in units of the cell vectors:
La: 0.114 0.864 0.250
La: 0.279 0.230 0.049
La: 0.319 0.770 0.549
La: 0.681 0.230 0.451
La: 0.721 0.770 0.951
La: 0.886 0.136 0.750
Si: 0.290 0.540 0.750
Si: 0.710 0.460 0.250
Pd: 0.046 0.239 0.411
Pd: 0.046 0.635 0.807
Pd: 0.328 0.239 0.693
Pd: 0.328 0.635 0.089
Pd: 0.500 0.000 0.000
Pd: 0.500 0.500 0.500
Pd: 0.672 0.365 0.911
Pd: 0.672 0.761 0.307
Pd: 0.954 0.365 0.193
Pd: 0.954 0.761 0.589

Entry 3:
Starting from a structure optimized by DFT (PBE), the powder X-ray diffraction pattern of LaSi2Pd2 was simulated for Cu Ka.

The 10 most intense peaks (2θ = 10–90°), low angle first:
2θ = 22.49°, 3.954 Å, I = 20; 2θ = 34.05°, 2.633 Å, I = 25; 2θ = 34.51°, 2.599 Å, I = 100; 2θ = 35.99°, 2.495 Å, I = 15; 2θ = 41.96°, 2.153 Å, I = 38; 2θ = 55.10°, 1.667 Å, I = 12; 2θ = 56.45°, 1.630 Å, I = 17; 2θ = 60.85°, 1.522 Å, I = 12; 2θ = 63.75°, 1.460 Å, I = 15; 2θ = 71.87°, 1.314 Å, I = 23

Structure:
a b c (Å): 4.306 4.306 9.982
angles (deg): 90.00 90.00 90.00
Sites, in units of the cell vectors:
La: 0.000 0.000 0.000
La: 0.500 0.500 0.500
Si: 0.000 0.000 0.380
Si: 0.000 0.000 0.620
Si: 0.500 0.500 0.120
Si: 0.500 0.500 0.880
Pd: 0.000 0.500 0.250
Pd: 0.000 0.500 0.750
Pd: 0.500 0.000 0.250
Pd: 0.500 0.000 0.750

Entry 4:
Starting from a structure optimized by DFT (PBE), the powder X-ray diffraction pattern of LaSn2Pd was simulated for Cu Ka.

The 10 most intense peaks (2θ = 10–90°), low angle first:
2θ = 30.38°, 2.943 Å, I = 35; 2θ = 30.67°, 2.915 Å, I = 100; 2θ = 33.84°, 2.649 Å, I = 27; 2θ = 38.36°, 2.347 Å, I = 34; 2θ = 39.50°, 2.281 Å, I = 32; 2θ = 42.20°, 2.141 Å, I = 18; 2θ = 42.96°, 2.105 Å, I = 19; 2θ = 49.69°, 1.835 Å, I = 18; 2θ = 52.97°, 1.729 Å, I = 15; 2θ = 56.24°, 1.636 Å, I = 24

Structure:
a b c (Å): 4.563 19.251 4.693
angles (deg): 90.00 90.00 90.00
Sites, in units of the cell vectors:
La: 0.000 0.108 0.250
La: 0.000 0.892 0.750
La: 0.500 0.392 0.750
La: 0.500 0.608 0.250
Sn: 0.000 0.252 0.750
Sn: 0.000 0.459 0.250
Sn: 0.000 0.541 0.750
Sn: 0.000 0.748 0.250
Sn: 0.500 0.041 0.750
Sn: 0.500 0.248 0.250
Sn: 0.500 0.752 0.750
Sn: 0.500 0.959 0.250
Pd: 0.000 0.324 0.250
Pd: 0.000 0.676 0.750
Pd: 0.500 0.176 0.750
Pd: 0.500 0.824 0.250